Starting from a crystal structure in the Materials Project, relaxed with PBE, the powder diffractogram of HfCoSi was computed for Cu Kα (λ = 1.5418 Å).
Lines closer than 0.1° are merged.

Structural model:
Lattice parameters (Å, degrees): 7.931 4.948 4.948 61.28 90.00 90.00
Positions (direct):
Hf (0.181, 0.000, 0.000)
Hf (0.294, 0.670, 0.670)
Hf (0.706, 0.670, 0.670)
Hf (0.819, 0.000, 0.000)
Co (0.000, 0.487, 0.990)
Co (0.000, 0.990, 0.487)
Co (0.271, 0.344, 0.344)
Co (0.729, 0.344, 0.344)
Si (0.000, 0.482, 0.482)
Si (0.500, 0.160, 0.676)
Si (0.500, 0.165, 0.165)
Si (0.500, 0.676, 0.160)

Most intense lines, 2θ from 5° to 70°, low angle first:
Position (°2θ), d/Å, I (rel.)
20.47, 4.339, 27
22.42, 3.965, 45
23.37, 3.807, 27
35.61, 2.521, 43
36.32, 2.473, 98
39.93, 2.258, 84
40.15, 2.246, 51
42.48, 2.128, 72
43.11, 2.099, 100
43.23, 2.093, 37



Starting from a crystal structure in the Materials Project, relaxed with PBE, the powder diffractogram of MgTe4Mo2W2Se2S2 was computed for Cu Kα (λ = 1.5418 Å).
Lines closer than 0.1° are merged.

Structural model:
Lattice parameters (Å, degrees): 3.395 3.395 38.684 90.00 90.00 120.00
Positions (direct):
Mg (0.000, 0.000, 0.000)
Te (0.628, 0.309, 0.172)
Te (0.628, 0.309, 0.269)
Te (0.962, 0.975, 0.735)
Te (0.962, 0.975, 0.833)
Mo (0.628, 0.309, 0.408)
Mo (0.961, 0.975, 0.220)
W (0.628, 0.309, 0.784)
W (0.961, 0.975, 0.596)
Se (0.628, 0.309, 0.553)
Se (0.628, 0.309, 0.639)
S (0.962, 0.975, 0.369)
S (0.962, 0.975, 0.447)

Most intense lines, 2θ from 5° to 70°, low angle first:
Position (°2θ), d/Å, I (rel.)
6.86, 12.895, 38
11.44, 7.737, 100
13.73, 6.447, 16
30.42, 2.939, 44
35.74, 2.512, 85
38.45, 2.341, 19
43.26, 2.092, 47
45.02, 2.014, 15
54.02, 1.698, 29
66.47, 1.407, 14



Starting from a crystal structure in the Materials Project, relaxed with PBE, the powder diffractogram of Si5O8 was computed for Cu Kα (λ = 1.5418 Å).
Lines closer than 0.1° are merged.

Structural model:
Lattice parameters (Å, degrees): 6.761 6.776 12.111 77.78 77.21 69.75
Positions (direct):
Si (0.000, 0.000, 0.000)
Si (0.008, 0.609, 0.659)
Si (0.217, 0.061, 0.111)
Si (0.233, 0.839, 0.772)
Si (0.362, 0.195, 0.568)
Si (0.646, 0.483, 0.861)
Si (0.692, 0.988, 0.131)
Si (0.774, 0.628, 0.328)
Si (0.829, 0.850, 0.440)
Si (0.849, 0.151, 0.307)
O (0.039, 0.951, 0.870)
O (0.066, 0.214, 0.012)
O (0.099, 0.114, 0.240)
O (0.155, 0.686, 0.718)
O (0.166, 0.419, 0.587)
O (0.185, 0.843, 0.083)
O (0.292, 0.018, 0.671)
O (0.439, 0.696, 0.833)
O (0.462, 0.066, 0.085)
O (0.617, 0.780, 0.428)
O (0.697, 0.144, 0.218)
O (0.721, 0.743, 0.200)
O (0.771, 0.383, 0.352)
O (0.840, 0.523, 0.758)
O (0.881, 0.808, 0.570)
O (0.990, 0.663, 0.356)

Most intense lines, 2θ from 5° to 70°, low angle first:
Position (°2θ), d/Å, I (rel.)
14.11, 6.275, 96
14.96, 5.922, 100
16.28, 5.443, 44
16.97, 5.224, 53
17.12, 5.180, 50
19.03, 4.663, 32
19.15, 4.634, 30
19.30, 4.598, 42
19.98, 4.444, 41
30.54, 2.927, 21